(1)
# Pm2PrEr4
Computed X-ray diffraction stick pattern, Cu Ka. Input: DFT lattice parameters and positions (PBE).

Atomic structure:
```
data_Pm2PrEr4
_space_group_name_H-M_alt 'P 1'
_space_group_IT_number 1
_space_group_name_Hall 'P 1'
_cell_length_a 6.095
_cell_length_b 8.411
_cell_length_c 9.551
_cell_angle_alpha 88.12
_cell_angle_beta 78.11
_cell_angle_gamma 72.32
loop_
_atom_site_label
_atom_site_type_symbol
_atom_site_fract_x
_atom_site_fract_y
_atom_site_fract_z
_atom_site_occupancy
Pm1 Pm 0.000 0.000 0.000 1
Pm2 Pm 0.094 0.583 0.151 1
Pm3 Pm 0.636 0.370 0.228 1
Pm4 Pm 0.848 0.508 0.504 1
Pr1 Pr 0.727 0.840 0.730 1
Pr2 Pr 0.994 0.112 0.643 1
Er1 Er 0.199 0.158 0.283 1
Er2 Er 0.286 0.737 0.447 1
Er3 Er 0.332 0.632 0.799 1
Er4 Er 0.402 0.311 0.579 1
Er5 Er 0.451 0.222 0.932 1
Er6 Er 0.536 0.791 0.093 1
Er7 Er 0.742 0.952 0.368 1
Er8 Er 0.888 0.443 0.874 1
```

Most intense lines, 2θ from 10° to 90°, in order of falling intensity:
2θ (°)	I/Imax
33.20	100
31.16	86
31.58	64
30.98	51
29.57	36
32.19	26

---

(2)
# Mg8AgRh2
Computed X-ray diffraction stick pattern, Cu Ka. Input: DFT lattice parameters and positions (PBE).

Atomic structure:
```
data_Mg8AgRh2
_space_group_name_H-M_alt 'C m m m'
_space_group_IT_number 65
_space_group_name_Hall '-C 2 2'
_cell_length_a 8.425
_cell_length_b 11.113
_cell_length_c 4.512
_cell_angle_alpha 90.00
_cell_angle_beta 90.00
_cell_angle_gamma 90.00
loop_
_atom_site_label
_atom_site_type_symbol
_atom_site_fract_x
_atom_site_fract_y
_atom_site_fract_z
_atom_site_occupancy
Mg1 Mg 0.000 0.242 0.000 1
Mg2 Mg 0.163 0.000 0.000 1
Mg3 Mg 0.175 0.364 0.500 1
Ag1 Ag 0.000 0.500 0.000 1
Rh1 Rh 0.000 0.122 0.500 1
```

Most intense lines, 2θ from 10° to 90°, in order of falling intensity:
2θ (°)	I/Imax
23.76	100
38.62	96
38.03	95
21.09	68
40.30	46
39.96	42